(1)
Structure and simulated powder diffraction line list of Y6InTe5 (DFT lattice parameters and positions (PBE); Cu Kα (λ = 1.5418 Å)).
Lines closer than 0.1° are merged.

Peak list (6 most intense, 10° ≤ 2θ ≤ 90°, by angle)
index  Position (°2θ)  I/Imax
2 0 -2  28.8  100
2 0 2  41.2  37
1 3 -3  41.2  37
0 0 4  51.1  20
3 3 -5  67.6  16
2 0 -6  75.2  14

Atomic structure:
Lattice parameters (Å, degrees): 7.6003 13.1254 7.5850 90.00 109.34 90.00
Space group C2/m (No. 12)
One atom of each set of equivalent atoms:
Y 0.2397 0.0000 0.2541 x4
Y 0.2415 0.1617 0.7422 x8
In 0.0000 0.0000 0.5000 x2
Te 0.0000 0.1714 0.0000 x4
Te 0.0000 0.3346 0.5000 x4
Te 0.0000 0.5000 0.0000 x2



(2)
Structure and simulated powder diffraction line list of Zn2In2Te5 (DFT lattice parameters and positions (PBE); Cu Kα (λ = 1.5418 Å)).
Lines closer than 0.1° are merged.

Peak list (6 most intense, 10° ≤ 2θ ≤ 90°, by angle)
index  Position (°2θ)  I/Imax
4 0 0  16.9  90
1 1 -1  23.9  45
6 0 -1  25.1  100
3 1 1  29.0  64
1 1 2  34.0  87
5 1 -3  43.8  66

Atomic structure:
Lattice parameters (Å, degrees): 21.8487 4.3219 7.3648 90.00 106.34 90.00
Space group C2/m (No. 12)
One atom of each set of equivalent atoms:
Zn 0.0818 0.0000 0.2803 x4
In 0.1196 0.5000 0.8861 x4
Te 0.0000 0.5000 0.0000 x2
Te 0.1109 0.5000 0.5058 x4
Te 0.1791 0.0000 0.1151 x4



(3)
Structure and simulated powder diffraction line list of Zn2InTe4 (DFT lattice parameters and positions (PBE); Cu Kα (λ = 1.5418 Å)).
Lines closer than 0.1° are merged.

Peak list (6 most intense, 10° ≤ 2θ ≤ 90°, by angle)
index  Position (°2θ)  I/Imax
1 1 1  25.2  100
1 0 2  32.8  13
2 0 2  41.8  67
3 1 1  49.4  26
1 1 3  49.5  16
3 1 3  66.7  15

Atomic structure:
Lattice parameters (Å, degrees): 6.1204 6.1204 6.1019 90.00 90.00 90.00
Space group P-42m (No. 111)
One atom of each set of equivalent atoms:
Zn 0.0000 0.5000 0.0000 x2
In 0.0000 0.0000 0.5000 x1
Te 0.2765 0.2765 0.7456 x4



(4)
Structure and simulated powder diffraction line list of Th3In2 (DFT lattice parameters and positions (PBE); Cu Kα (λ = 1.5418 Å)).
Lines closer than 0.1° are merged.

Peak list (6 most intense, 10° ≤ 2θ ≤ 90°, by angle)
index  Position (°2θ)  I/Imax
1 1 0  30.5  68
1 0 5  33.8  100
2 0 0  43.7  26
2 1 5  56.3  47
1 1 10  62.4  15
3 2 5  89.9  14

Atomic structure:
Lattice parameters (Å, degrees): 4.1460 4.1460 17.2891 90.00 90.00 90.00
Space group P4/mmm (No. 123)
One atom of each set of equivalent atoms:
Th 0.0000 0.0000 0.0000 x1
Th 0.0000 0.0000 0.1939 x2
Th 0.0000 0.0000 0.3904 x2
Th 0.5000 0.5000 0.5000 x1
In 0.5000 0.5000 0.0971 x2
In 0.5000 0.5000 0.2934 x2



(5)
Structure and simulated powder diffraction line list of ThIn (DFT lattice parameters and positions (PBE); Cu Kα (λ = 1.5418 Å)).
Lines closer than 0.1° are merged.

Peak list (6 most intense, 10° ≤ 2θ ≤ 90°, by angle)
index  Position (°2θ)  I/Imax
1 0 1  32.0  100
1 1 0  36.1  36
0 0 2  38.9  15
2 0 0  52.0  13
1 1 2  54.1  23
2 1 1  62.4  30

Atomic structure:
Lattice parameters (Å, degrees): 3.5152 3.5152 4.6357 90.00 90.00 90.00
Space group P4/mmm (No. 123)
One atom of each set of equivalent atoms:
Th 0.0000 0.0000 0.0000 x1
In 0.5000 0.5000 0.5000 x1



(6)
Structure and simulated powder diffraction line list of Th3In2 (DFT lattice parameters and positions (PBE); Cu Kα (λ = 1.5418 Å)).
Lines closer than 0.1° are merged.

Peak list (6 most intense, 10° ≤ 2θ ≤ 90°, by angle)
index  Position (°2θ)  I/Imax
2 2 0  28.7  32
2 0 2  30.6  81
3 1 0  32.1  73
2 1 2  32.3  100
3 1 1  34.2  25
3 1 4  57.6  25

Atomic structure:
Lattice parameters (Å, degrees): 8.8102 8.8102 7.8140 90.00 90.00 90.00
Space group P4_2/mnm (No. 136)
One atom of each set of equivalent atoms:
Th 0.0000 0.5000 0.2500 x4
Th 0.1525 0.1525 0.0000 x4
Th 0.2054 0.2054 0.5000 x4
In 0.1208 0.8792 0.2980 x8



(7)
Structure and simulated powder diffraction line list of Th3In5 (DFT lattice parameters and positions (PBE); Cu Kα (λ = 1.5418 Å)).
Lines closer than 0.1° are merged.

Peak list (6 most intense, 10° ≤ 2θ ≤ 90°, by angle)
index  Position (°2θ)  I/Imax
2 2 2  32.6  100
1 3 0  33.5  24
0 0 4  34.4  36
4 0 0  34.9  25
3 1 3  38.4  20
1 3 4  48.8  20

Atomic structure:
Lattice parameters (Å, degrees): 10.2844 8.3221 10.4222 90.00 90.00 90.00
Space group Cmcm (No. 63)
One atom of each set of equivalent atoms:
Th 0.0000 0.1236 0.2500 x4
Th 0.2089 0.5000 0.0000 x8
In 0.0000 0.1968 0.5492 x8
In 0.0000 0.4897 0.7500 x4
In 0.2111 0.2186 0.7500 x8